Diffraction record for CeDyGe2O8. The XRD peak list is calculated, not measured: it uses a DFT-relaxed cell (PBE, Alexandria) and CuKα.

Atomic structure:
Lattice parameters (Å, degrees): 6.6858 6.6858 6.6858 135.01 135.01 65.52
Element x y z (fractional)
Ce 0.0000 0.0000 0.0000
Dy 0.2500 0.7500 0.5000
Ge 0.5000 0.5000 0.0000
Ge 0.7500 0.2500 0.5000
O 0.2618 0.6744 0.0995
O 0.3256 0.4251 0.5874
O 0.4128 0.0113 0.0874
O 0.5749 0.1623 0.9005
O 0.6746 0.5872 0.5985
O 0.8377 0.7382 0.4126
O 0.9239 0.3254 0.9126
O 0.9887 0.0761 0.4015

Most intense lines, 10° ≤ 2θ ≤ 90°, low angle first:
| 2theta | d [Å] | I (rel.) |
| --- | --- | --- |
| 29.36 | 3.042 | 100 |
| 31.83 | 2.811 | 15 |
| 35.08 | 2.558 | 20 |
| 48.09 | 1.892 | 30 |
| 55.20 | 1.664 | 17 |
| 59.45 | 1.555 | 28 |



Diffraction record for CeDyHf. The XRD peak list is calculated, not measured: it uses a DFT-relaxed cell (PBE, Alexandria) and CuKα.

Atomic structure:
Lattice parameters (Å, degrees): 5.5731 5.5731 7.9126 123.18 123.18 55.97
Element x y z (fractional)
Ce 0.0000 0.0000 0.0000
Ce 0.5866 0.5866 0.9983
Dy 0.2031 0.2031 0.4905
Dy 0.8793 0.8793 0.4922
Hf 0.4035 0.4035 0.2189
Hf 0.6450 0.6450 0.6989

Most intense lines, 10° ≤ 2θ ≤ 90°, low angle first:
| 2theta | d [Å] | I (rel.) |
| --- | --- | --- |
| 28.96 | 3.083 | 51 |
| 33.03 | 2.712 | 100 |
| 34.14 | 2.626 | 59 |
| 34.29 | 2.615 | 53 |
| 41.27 | 2.188 | 32 |
| 49.17 | 1.853 | 43 |



Diffraction record for Ce2Dy12Ho5. The XRD peak list is calculated, not measured: it uses a DFT-relaxed cell (PBE, Alexandria) and CuKα.

Atomic structure:
Lattice parameters (Å, degrees): 6.1600 10.0708 10.4726 66.99 84.60 87.50
Element x y z (fractional)
Ce 0.1995 0.4832 0.0407
Ce 0.8005 0.5168 0.9593
Dy 0.0272 0.1531 0.3395
Dy 0.0966 0.8333 0.9952
Dy 0.1125 0.1707 0.6674
Dy 0.3883 0.6722 0.4696
Dy 0.4163 0.3266 0.8461
Dy 0.4512 0.6999 0.7637
Dy 0.5488 0.3001 0.2363
Dy 0.5837 0.6734 0.1539
Dy 0.6117 0.3278 0.5304
Dy 0.8875 0.8293 0.3326
Dy 0.9034 0.1667 0.0048
Dy 0.9728 0.8469 0.6605
Ho 0.0728 0.4948 0.3361
Ho 0.4030 0.0028 0.1642
Ho 0.5000 0.0000 0.5000
Ho 0.5970 0.9972 0.8358
Ho 0.9272 0.5052 0.6639

Most intense lines, 10° ≤ 2θ ≤ 90°, low angle first:
| 2theta | d [Å] | I (rel.) |
| --- | --- | --- |
| 30.16 | 2.963 | 19 |
| 30.39 | 2.941 | 32 |
| 31.46 | 2.843 | 70 |
| 31.80 | 2.814 | 25 |
| 32.35 | 2.768 | 51 |
| 32.58 | 2.748 | 100 |



Diffraction record for CeDy4Ho7. The XRD peak list is calculated, not measured: it uses a DFT-relaxed cell (PBE, Alexandria) and CuKα.

Atomic structure:
Lattice parameters (Å, degrees): 5.9265 6.8391 9.9660 110.03 90.19 90.02
Element x y z (fractional)
Ce 0.0000 0.0000 0.0000
Dy 0.2535 0.1321 0.7270
Dy 0.2532 0.5940 0.7269
Dy 0.7468 0.4060 0.2731
Dy 0.7465 0.8679 0.2730
Ho 0.2440 0.7147 0.4282
Ho 0.2501 0.5393 0.0788
Ho 0.2521 0.1878 0.3740
Ho 0.5000 0.0000 0.0000
Ho 0.7479 0.8122 0.6260
Ho 0.7499 0.4607 0.9212
Ho 0.7560 0.2853 0.5718

Most intense lines, 10° ≤ 2θ ≤ 90°, low angle first:
| 2theta | d [Å] | I (rel.) |
| --- | --- | --- |
| 30.16 | 2.963 | 33 |
| 31.11 | 2.875 | 23 |
| 31.68 | 2.824 | 100 |
| 32.40 | 2.763 | 82 |
| 32.47 | 2.757 | 34 |
| 33.30 | 2.691 | 22 |



Diffraction record for Ce2Dy15Ho2. The XRD peak list is calculated, not measured: it uses a DFT-relaxed cell (PBE, Alexandria) and CuKα.

Atomic structure:
Lattice parameters (Å, degrees): 8.6950 8.6950 8.6950 79.34 79.34 79.34
Element x y z (fractional)
Ce 0.0751 0.0751 0.0751
Ce 0.9249 0.9249 0.9249
Dy 0.0000 0.0000 0.5000
Dy 0.0000 0.3034 0.6966
Dy 0.0000 0.5000 0.0000
Dy 0.0000 0.6966 0.3034
Dy 0.1478 0.6332 0.6332
Dy 0.3034 0.0000 0.6966
Dy 0.3034 0.6966 0.0000
Dy 0.3668 0.3668 0.8522
Dy 0.3668 0.8522 0.3668
Dy 0.5000 0.0000 0.0000
Dy 0.6332 0.1478 0.6332
Dy 0.6332 0.6332 0.1478
Dy 0.6966 0.0000 0.3034
Dy 0.6966 0.3034 0.0000
Dy 0.8522 0.3668 0.3668
Ho 0.3190 0.3190 0.3190
Ho 0.6810 0.6810 0.6810

Most intense lines, 10° ≤ 2θ ≤ 90°, low angle first:
| 2theta | d [Å] | I (rel.) |
| --- | --- | --- |
| 30.43 | 2.938 | 25 |
| 31.47 | 2.843 | 41 |
| 31.81 | 2.813 | 100 |
| 32.25 | 2.775 | 45 |
| 35.78 | 2.509 | 50 |
| 57.53 | 1.602 | 27 |



Diffraction record for CeDy12Ho3. The XRD peak list is calculated, not measured: it uses a DFT-relaxed cell (PBE, Alexandria) and CuKα.

Atomic structure:
Lattice parameters (Å, degrees): 5.0038 5.0038 20.0119 90.00 90.00 90.00
Element x y z (fractional)
Ce 0.0000 0.0000 0.0000
Dy 0.0000 0.5000 0.1242
Dy 0.0000 0.5000 0.3747
Dy 0.0000 0.5000 0.6253
Dy 0.0000 0.5000 0.8758
Dy 0.5000 0.0000 0.1242
Dy 0.5000 0.0000 0.3747
Dy 0.5000 0.0000 0.6253
Dy 0.5000 0.0000 0.8758
Dy 0.5000 0.5000 0.0000
Dy 0.5000 0.5000 0.2512
Dy 0.5000 0.5000 0.5000
Dy 0.5000 0.5000 0.7488
Ho 0.0000 0.0000 0.2491
Ho 0.0000 0.0000 0.5000
Ho 0.0000 0.0000 0.7509

Most intense lines, 10° ≤ 2θ ≤ 90°, low angle first:
| 2theta | d [Å] | I (rel.) |
| --- | --- | --- |
| 30.96 | 2.889 | 100 |
| 35.90 | 2.502 | 51 |
| 51.67 | 1.769 | 36 |
| 61.46 | 1.509 | 43 |
| 84.38 | 1.148 | 18 |
| 87.11 | 1.119 | 17 |



Diffraction record for CeDy4Ho. The XRD peak list is calculated, not measured: it uses a DFT-relaxed cell (PBE, Alexandria) and CuKα.

Atomic structure:
Lattice parameters (Å, degrees): 8.7723 8.7723 6.1665 96.64 96.64 23.41
Element x y z (fractional)
Ce 0.0000 0.0000 0.0000
Dy 0.1669 0.1669 0.3863
Dy 0.3346 0.3346 0.1098
Dy 0.6654 0.6654 0.8902
Dy 0.8331 0.8331 0.6137
Ho 0.5000 0.5000 0.5000

Most intense lines, 10° ≤ 2θ ≤ 90°, low angle first:
| 2theta | d [Å] | I (rel.) |
| --- | --- | --- |
| 29.18 | 3.061 | 35 |
| 31.46 | 2.843 | 50 |
| 32.23 | 2.777 | 100 |
| 33.95 | 2.641 | 85 |
| 51.33 | 1.780 | 38 |
| 61.46 | 1.509 | 44 |



Diffraction record for CeDy12Ho6. The XRD peak list is calculated, not measured: it uses a DFT-relaxed cell (PBE, Alexandria) and CuKα.

Atomic structure:
Lattice parameters (Å, degrees): 8.6582 8.6582 8.6582 99.31 99.31 99.31
Element x y z (fractional)
Ce 0.0000 0.0000 0.0000
Dy 0.0786 0.3512 0.3512
Dy 0.2430 0.5000 0.7570
Dy 0.2430 0.7570 0.5000
Dy 0.3512 0.0786 0.3512
Dy 0.3512 0.3512 0.0786
Dy 0.5000 0.2430 0.7570
Dy 0.5000 0.7570 0.2430
Dy 0.6488 0.6488 0.9214
Dy 0.6488 0.9214 0.6488
Dy 0.7570 0.2430 0.5000
Dy 0.7570 0.5000 0.2430
Dy 0.9214 0.6488 0.6488
Ho 0.1033 0.1033 0.6629
Ho 0.1033 0.6629 0.1033
Ho 0.3371 0.8967 0.8967
Ho 0.6629 0.1033 0.1033
Ho 0.8967 0.3371 0.8967
Ho 0.8967 0.8967 0.3371

Most intense lines, 10° ≤ 2θ ≤ 90°, low angle first:
| 2theta | d [Å] | I (rel.) |
| --- | --- | --- |
| 30.02 | 2.977 | 50 |
| 31.74 | 2.819 | 53 |
| 32.03 | 2.794 | 64 |
| 32.15 | 2.784 | 100 |
| 34.60 | 2.593 | 37 |
| 34.87 | 2.573 | 32 |